# Tb5Er2Th3
Theoretical X-ray powder pattern, Cu Kα. Input: DFT lattice parameters and positions (PBE).
Neutral-atom scattering factors, no anomalous dispersion.

Principal peaks in the range 5° ≤ 2θ ≤ 70°, sorted by position:
2theta, Rel. int., (hkl)
30.78, 100, 3 1 -1
30.79, 100, 1 1 3
35.52, 34, 2 0 -4
35.64, 34, 0 2 0
35.92, 33, 4 0 2
51.48, 36, 4 2 2
60.86, 29, 5 1 -5
61.02, 29, 1 3 3
61.40, 28, 7 1 1
64.13, 25, 2 2 6

Structure:
```
data_Tb5Er2Th3
_chemical_formula_sum 'Tb10 Er4 Th6'
_cell_length_a 11.209
_cell_length_b 5.038
_cell_length_c 11.274
_cell_angle_alpha 90.00
_cell_angle_beta 90.52
_cell_angle_gamma 90.00
_space_group_name_H-M_alt 'C 1 2/m 1'
_space_group_IT_number 12
loop_
_space_group_symop_operation_xyz
'x,y,z'
'-x,-y,-z'
'-x,y,-z'
'x,-y,z'
'x+1/2,y+1/2,z'
'-x+1/2,-y+1/2,-z'
'-x+1/2,y+1/2,-z'
'x+1/2,-y+1/2,z'
loop_
_atom_site_label
_atom_site_type_symbol
_atom_site_fract_x
_atom_site_fract_y
_atom_site_fract_z
Tb1 Tb 0.000 0.000 0.000
Tb2 Tb 0.199 0.000 0.600
Tb3 Tb 0.199 0.500 0.101
Er1 Er 0.097 0.500 0.798
Th1 Th 0.000 0.500 0.500
Th2 Th 0.099 0.000 0.300
```